No. 1
Diffraction record for Nd4ScHg. The X-ray diffraction stick pattern is theoretical, not measured: it uses a crystal structure in Alexandria, relaxed with PBE and a wavelength of 1.5418 Å.
Kinematic intensities with the Lorentz-polarization factor, no thermal factor.

Structural model:
Cell: 3.681 3.681 13.754 Å, 90.00 90.00 90.00°
Fractional positions:
Nd  0.000  0.000  0.150
Nd  0.000  0.000  0.850
Nd  0.500  0.500  0.336
Nd  0.500  0.500  0.664
Sc  0.000  0.000  0.500
Hg  0.500  0.500  0.000

Most intense lines, 10° ≤ 2θ ≤ 80°, sorted by position:
| Position (°2θ) | Rel. int. |
| --- | --- |
| 31.2 | 100 |
| 34.5 | 40 |
| 35.7 | 6 |
| 39.3 | 12 |
| 49.5 | 14 |
| 53.2 | 20 |
| 59.7 | 31 |
| 65.0 | 12 |
| 66.2 | 9 |
| 72.7 | 5 |

No. 2
Diffraction record for Rb3NpTl2S6. The X-ray diffraction stick pattern is theoretical, not measured: it uses a crystal structure in Alexandria, relaxed with PBE and a wavelength of 1.5418 Å.
Kinematic intensities with the Lorentz-polarization factor, no thermal factor.

Structural model:
Cell: 7.637 7.637 7.721 Å, 99.63 99.63 119.35°
Fractional positions:
Rb  0.000  0.000  0.000
Rb  0.320  0.680  0.000
Rb  0.680  0.320  0.000
Np  0.500  0.500  0.500
Tl  0.165  0.835  0.500
Tl  0.835  0.165  0.500
S  0.160  0.436  0.305
S  0.298  0.298  0.698
S  0.436  0.160  0.305
S  0.564  0.840  0.695
S  0.702  0.702  0.302
S  0.840  0.564  0.695

Most intense lines, 10° ≤ 2θ ≤ 80°, sorted by position:
| Position (°2θ) | Rel. int. |
| --- | --- |
| 12.1 | 62 |
| 23.7 | 18 |
| 24.5 | 69 |
| 24.7 | 65 |
| 28.4 | 51 |
| 28.5 | 100 |
| 40.4 | 18 |
| 40.6 | 70 |
| 48.0 | 36 |
| 48.4 | 26 |